No. 1
Structure and theoretical powder diffraction line list of AcNd (a PBE-relaxed structure; copper Kα).

Crystal structure
Lattice parameters (Å, degrees): 3.8782 3.8782 6.1833 90.00 90.00 120.00
Sites, in units of the cell vectors:
1 Ac 0.0000 0.0000 0.0000
2 Nd 0.6667 0.3333 0.5000

Peak list (12 most intense, 2θ from 10° to 90°, sorted by position)
two_theta  d/Å  intensity
26.54  3.359  25.8
28.88  3.092  24.7
30.28  2.951  100.0
39.62  2.275  18.2
46.85  1.939  20.1
52.06  1.757  22.5
55.98  1.643  23.9
56.81  1.621  17.4
72.62  1.302  8.5
76.63  1.243  14.6
79.25  1.209  8.8
83.26  1.160  6.0

No. 2
Structure and theoretical powder diffraction line list of Sn3As2Pd2 (a PBE-relaxed structure; copper Kα).

Crystal structure
Lattice parameters (Å, degrees): 8.6300 8.6300 8.6300 31.58 31.58 31.58
Sites, in units of the cell vectors:
1 Sn 0.0000 0.0000 0.0000
2 Sn 0.2368 0.2368 0.2368
3 Sn 0.4826 0.4826 0.4826
4 As 0.1106 0.1106 0.1106
5 As 0.6292 0.6292 0.6292
6 Pd 0.3654 0.3654 0.3654
7 Pd 0.8590 0.8590 0.8590

Peak list (12 most intense, 2θ from 10° to 90°, sorted by position)
two_theta  d/Å  intensity
21.69  4.097  9.2
22.15  4.013  11.7
23.03  3.861  9.2
28.48  3.134  20.8
36.66  2.452  98.0
38.33  2.348  100.0
53.44  1.715  8.6
54.08  1.696  32.1
64.88  1.437  12.0
68.22  1.375  32.2
69.31  1.356  17.8
82.08  1.174  11.4

No. 3
Structure and theoretical powder diffraction line list of TbDyHg6 (a PBE-relaxed structure; copper Kα).

Crystal structure
Lattice parameters (Å, degrees): 6.5996 6.5996 5.0026 90.00 90.00 120.00
Sites, in units of the cell vectors:
1 Tb 0.0000 0.0000 0.0000
2 Dy 0.6667 0.3333 0.5000
3 Hg 0.0002 0.5001 0.0000
4 Hg 0.1670 0.3340 0.5000
5 Hg 0.1670 0.8330 0.5000
6 Hg 0.4999 0.9998 0.0000
7 Hg 0.4999 0.5001 0.0000
8 Hg 0.6660 0.8330 0.5000

Peak list (12 most intense, 2θ from 10° to 90°, sorted by position)
two_theta  d/Å  intensity
31.30  2.858  24.4
35.90  2.501  22.7
36.20  2.481  100.0
48.36  1.882  14.9
55.71  1.650  19.6
64.72  1.440  18.8
65.30  1.429  3.1
68.08  1.377  21.7
68.27  1.374  16.1
76.11  1.251  2.7
76.83  1.241  3.9
84.58  1.146  3.1

No. 4
Structure and theoretical powder diffraction line list of HgGeSO (a PBE-relaxed structure; copper Kα).

Crystal structure
Lattice parameters (Å, degrees): 4.8796 8.2628 8.5342 90.00 90.00 90.00
Sites, in units of the cell vectors:
1 Hg 0.2095 0.1488 0.3139
2 Hg 0.2905 0.8512 0.8139
3 Hg 0.7095 0.3512 0.6861
4 Hg 0.7905 0.6488 0.1861
5 Ge 0.0024 0.3489 0.9247
6 Ge 0.4976 0.6511 0.4247
7 Ge 0.5024 0.1511 0.0753
8 Ge 0.9976 0.8489 0.5753
9 S 0.1841 0.5788 0.0179
10 S 0.3159 0.4212 0.5179
11 S 0.6841 0.9212 0.9821
12 S 0.8159 0.0788 0.4821
13 O 0.2058 0.7857 0.4081
14 O 0.2942 0.2143 0.9081
15 O 0.7058 0.7143 0.5919
16 O 0.7942 0.2857 0.0919

Peak list (12 most intense, 2θ from 10° to 90°, sorted by position)
two_theta  d/Å  intensity
21.15  4.202  23.7
23.60  3.770  100.0
23.93  3.719  97.0
27.77  3.212  34.6
29.84  2.994  44.3
33.31  2.690  19.9
37.50  2.399  27.1
38.98  2.310  18.9
39.95  2.257  17.5
42.81  2.112  38.5
43.83  2.066  22.0
54.67  1.679  17.2